[1]
Structure and simulated powder diffraction line list of Tc3Pd (a PBE-relaxed structure; a wavelength of 1.5418 Å).
Kinematic intensities with the Lorentz-polarization factor, no thermal factor.

Crystal structure
```
data_Tc3Pd
_cell_length_a 2.7520
_cell_length_b 2.7520
_cell_length_c 8.9645
_cell_angle_alpha 90.00
_cell_angle_beta 90.00
_cell_angle_gamma 120.00
_symmetry_space_group_name_H-M 'P -6 m 2'
_symmetry_Int_Tables_number 187
_symmetry_space_group_name_Hall 'P -6 2'
loop_
_atom_site_label
_atom_site_type_symbol
_atom_site_fract_x
_atom_site_fract_y
_atom_site_fract_z
Tc1 Tc 0.0000 0.0000 0.0000
Tc2 Tc 0.3333 0.6667 0.2443
Pd1 Pd 0.0000 0.0000 0.5000
```

Largest 5 diffraction maxima, by intensity, 5° ≤ 2θ ≤ 70°:
index  2θ (°)  d/Å  I_rel
1 0 2  42.98  2.104  100
0 0 4  40.24  2.241  27
1 0 0  37.75  2.383  24
1 1 0  68.15  1.376  16
1 0 4  56.35  1.633  15



[2]
Structure and simulated powder diffraction line list of Y2MgCuO4 (a PBE-relaxed structure; a wavelength of 1.5418 Å).
Kinematic intensities with the Lorentz-polarization factor, no thermal factor.

Crystal structure
```
data_Y2MgCuO4
_cell_length_a 5.6693
_cell_length_b 5.6692
_cell_length_c 7.8335
_cell_angle_alpha 90.00
_cell_angle_beta 110.27
_cell_angle_gamma 90.00
_symmetry_space_group_name_H-M 'C 1 m 1'
_symmetry_Int_Tables_number 8
_symmetry_space_group_name_Hall 'C -2y'
loop_
_atom_site_label
_atom_site_type_symbol
_atom_site_fract_x
_atom_site_fract_y
_atom_site_fract_z
Y1 Y 0.0000 0.0000 0.0000
Y2 Y 0.2453 0.5000 0.5268
Mg1 Mg 0.0545 0.5000 0.1181
Cu1 Cu 0.3694 0.0000 0.7607
O1 O 0.0590 0.2468 0.6534
O2 O 0.3233 0.2502 0.1581
```

Largest 10 diffraction maxima, by intensity, 5° ≤ 2θ ≤ 70°:
index  2θ (°)  d/Å  I_rel
0 2 0  31.56  2.834  100
2 2 -1  45.24  2.004  94
1 1 -3  38.18  2.357  84
1 1 1  28.61  3.120  80
1 1 2  37.74  2.384  79
1 1 -2  28.94  3.085  63
0 0 1  12.04  7.348  56
0 0 2  24.22  3.674  46
0 2 4  60.02  1.541  43
0 4 0  65.91  1.417  27



[3]
Structure and simulated powder diffraction line list of LiSm2Ir (a PBE-relaxed structure; a wavelength of 1.5418 Å).
Kinematic intensities with the Lorentz-polarization factor, no thermal factor.

Crystal structure
```
data_LiSm2Ir
_cell_length_a 7.1107
_cell_length_b 7.1107
_cell_length_c 7.1107
_cell_angle_alpha 90.00
_cell_angle_beta 90.00
_cell_angle_gamma 90.00
_symmetry_space_group_name_H-M 'F m -3 m'
_symmetry_Int_Tables_number 225
_symmetry_space_group_name_Hall '-F 4 2 3'
loop_
_atom_site_label
_atom_site_type_symbol
_atom_site_fract_x
_atom_site_fract_y
_atom_site_fract_z
Li1 Li 0.0000 0.0000 0.0000
Sm1 Sm 0.2500 0.2500 0.2500
Ir1 Ir 0.0000 0.0000 0.5000
```

Largest 10 diffraction maxima, by intensity, 5° ≤ 2θ ≤ 70°:
index  2θ (°)  d/Å  I_rel
2 2 0  35.71  2.514  100
4 2 2  64.16  1.451  37
1 1 1  21.65  4.105  32
4 0 0  51.40  1.778  18
3 1 1  42.15  2.144  18
3 3 1  56.40  1.631  8
2 0 0  25.05  3.555  6
5 1 1  68.58  1.368  6
4 2 0  58.01  1.590  2
2 2 2  44.12  2.053  2



[4]
Structure and simulated powder diffraction line list of CsLaO3 (a PBE-relaxed structure; a wavelength of 1.5418 Å).
Kinematic intensities with the Lorentz-polarization factor, no thermal factor.

Crystal structure
```
data_CsLaO3
_cell_length_a 4.7654
_cell_length_b 4.7654
_cell_length_c 4.7654
_cell_angle_alpha 90.00
_cell_angle_beta 90.00
_cell_angle_gamma 90.00
_symmetry_space_group_name_H-M 'P m -3 m'
_symmetry_Int_Tables_number 221
_symmetry_space_group_name_Hall '-P 4 2 3'
loop_
_atom_site_label
_atom_site_type_symbol
_atom_site_fract_x
_atom_site_fract_y
_atom_site_fract_z
Cs1 Cs 0.0000 0.0000 0.0000
La1 La 0.5000 0.5000 0.5000
O1 O 0.0000 0.5000 0.5000
```

Largest 9 diffraction maxima, by intensity, 5° ≤ 2θ ≤ 70°:
index  2θ (°)  d/Å  I_rel
1 1 0  26.45  3.370  100
2 1 1  46.69  1.945  43
2 0 0  37.76  2.383  31
2 2 0  54.46  1.685  20
3 1 0  61.54  1.507  19
2 2 2  68.17  1.376  7
1 1 1  32.54  2.751  1
1 0 0  18.62  4.765  1
2 1 0  42.41  2.131  1



[5]
Structure and simulated powder diffraction line list of Na2BeCl4 (a PBE-relaxed structure; a wavelength of 1.5418 Å).
Kinematic intensities with the Lorentz-polarization factor, no thermal factor.

Crystal structure
```
data_Na2BeCl4
_cell_length_a 13.6607
_cell_length_b 8.1188
_cell_length_c 6.1309
_cell_angle_alpha 90.00
_cell_angle_beta 90.00
_cell_angle_gamma 90.00
_symmetry_space_group_name_H-M 'P n m a'
_symmetry_Int_Tables_number 62
_symmetry_space_group_name_Hall '-P 2ac 2n'
loop_
_atom_site_label
_atom_site_type_symbol
_atom_site_fract_x
_atom_site_fract_y
_atom_site_fract_z
Na1 Na 0.0000 0.0000 0.0000
Na2 Na 0.2257 0.2500 0.4925
Be1 Be 0.0928 0.7500 0.4113
Cl1 Cl 0.0473 0.2500 0.7125
Cl2 Cl 0.0934 0.7500 0.7418
Cl3 Cl 0.1619 0.5475 0.2861
```

Largest 10 diffraction maxima, by intensity, 5° ≤ 2θ ≤ 70°:
index  2θ (°)  d/Å  I_rel
2 2 1  29.45  3.033  100
4 0 1  29.95  2.984  62
2 2 2  39.11  2.303  51
6 2 0  45.68  1.986  28
2 1 0  16.96  5.227  21
4 0 2  39.51  2.281  19
3 0 1  24.35  3.656  18
0 0 2  29.13  3.065  17
0 4 0  44.65  2.030  16
1 2 1  27.14  3.285  15



[6]
Structure and simulated powder diffraction line list of Ca4P5Pd5 (a PBE-relaxed structure; a wavelength of 1.5418 Å).
Kinematic intensities with the Lorentz-polarization factor, no thermal factor.

Crystal structure
```
data_Ca4P5Pd5
_cell_length_a 4.1351
_cell_length_b 31.1879
_cell_length_c 8.2635
_cell_angle_alpha 90.00
_cell_angle_beta 90.00
_cell_angle_gamma 90.00
_symmetry_space_group_name_H-M 'C m c m'
_symmetry_Int_Tables_number 63
_symmetry_space_group_name_Hall '-C 2c 2'
loop_
_atom_site_label
_atom_site_type_symbol
_atom_site_fract_x
_atom_site_fract_y
_atom_site_fract_z
Ca1 Ca 0.0000 0.0796 0.0014
Ca2 Ca 0.0000 0.3061 0.5053
P1 P 0.0000 0.1572 0.2500
P2 P 0.0000 0.1577 0.7500
P3 P 0.0000 0.2291 0.7500
P4 P 0.0000 0.4545 0.2500
P5 P 0.0000 0.4555 0.7500
Pd1 Pd 0.0000 0.9999 0.2500
Pd2 Pd 0.0000 0.2344 0.2500
Pd3 Pd 0.0000 0.3788 0.2500
Pd4 Pd 0.0000 0.3804 0.7500
Pd5 Pd 0.0000 0.5000 0.0000
```

Largest 10 diffraction maxima, by intensity, 5° ≤ 2θ ≤ 70°:
index  2θ (°)  d/Å  I_rel
1 5 2  33.87  2.647  100
2 0 0  43.80  2.067  47
0 2 0  5.67  15.594  38
1 13 2  49.12  1.855  25
0 8 2  31.55  2.836  25
1 13 0  43.62  2.075  23
0 0 2  21.51  4.132  21
0 8 0  22.81  3.898  21
2 0 4  63.68  1.461  15
1 13 4  63.55  1.464  14